Calculated powder X-ray diffraction pattern
Compound: CsLiMoO4
Radiation: Cu Kα, 1.54184 Å
Structure: a cell relaxed with GGA+U
Kinematic intensities with the Lorentz-polarization factor, no thermal factor.

The 8 most intense peaks (10 to 90 degrees two-theta), most intense first:
- 2θ = 17.8°, I = 100
- 2θ = 29.3°, I = 62
- 2θ = 34.6°, I = 40
- 2θ = 29.4°, I = 28
- 2θ = 52.1°, I = 23
- 2θ = 34.4°, I = 20
- 2θ = 45.9°, I = 15
- 2θ = 51.9°, I = 13

Cell and atoms:
abc: 6.0718 6.0718 8.6513
angles: 90.00 90.00 90.00
Space group I-4 (No. 82)
Asymmetric unit:
Cs (0.0000, 0.0000, 0.0000) (multiplicity 2)
Li (0.0000, 0.0000, 0.5000) (multiplicity 2)
Mo (0.0000, 0.5000, 0.7500) (multiplicity 2)
O (0.0622, 0.2655, 0.6308) (multiplicity 8)

=====

Calculated powder X-ray diffraction pattern
Compound: Mg2Nb2MoO8
Radiation: Cu Kα, 1.54184 Å
Structure: a cell relaxed with GGA+U
Kinematic intensities with the Lorentz-polarization factor, no thermal factor.

The 8 most intense peaks (10 to 90 degrees two-theta), most intense first:
- 2θ = 51.1°, I = 100
- 2θ = 26.2°, I = 76
- 2θ = 34.2°, I = 76
- 2θ = 32.2°, I = 75
- 2θ = 32.1°, I = 72
- 2θ = 20.1°, I = 69
- 2θ = 26.3°, I = 68
- 2θ = 27.3°, I = 63

Cell and atoms:
abc: 19.4772 6.0259 5.3028
angles: 90.00 90.44 90.00
Space group C2/c (No. 15)
Asymmetric unit:
Mg (0.2271, 0.1461, 0.2429) (multiplicity 8)
Nb (0.1190, 0.3406, 0.7486) (multiplicity 8)
Mo (0.0000, 0.1520, 0.2500) (multiplicity 4)
O (0.0592, 0.1223, 0.5942) (multiplicity 8)
O (0.0705, 0.3877, 0.0793) (multiplicity 8)
O (0.1860, 0.3985, 0.4513) (multiplicity 8)
O (0.1934, 0.1430, 0.8791) (multiplicity 8)

=====

Number 2 is which compound? Mg2Nb2MoO8